# 1
Diffraction record for Ge2Se2I. The powder diffraction line list is theoretical, not measured: it uses a structure optimized by DFT (PBE) and copper Kα.

a b c (Å): 6.6826 6.6826 12.2714
angles (deg): 90.00 90.00 90.00
Space group I4_1md (No. 109)
Unique sites:
Ge 0.0000 0.2759 0.0000 (multiplicity 8)
Se 0.0000 0.2388 0.2142 (multiplicity 8)
I 0.0000 0.0000 0.5116 (multiplicity 4)

Peak list (8 most intense, 2θ from 5° to 70°, in order of rising 2θ)
2θ/deg  d (Å)  I (rel.)  index
23.77  3.744  18  1 1 2
29.11  3.068  44  0 0 4
30.79  2.904  100  2 1 1
37.26  2.413  33  2 1 3
45.39  1.998  18  3 1 2
47.97  1.897  29  2 1 5
54.96  1.671  17  4 0 0
63.39  1.467  17  4 0 4


# 2
Diffraction record for IrPt3Rh. The powder diffraction line list is theoretical, not measured: it uses a structure optimized by DFT (PBE) and copper Kα.

a b c (Å): 5.4375 7.6155 16.2886
angles (deg): 90.00 90.00 90.00
Space group Fdd2 (No. 43)
Unique sites:
Ir 0.0000 0.0000 0.0000 (multiplicity 8)
Pt 0.0000 0.0000 0.1687 (multiplicity 8)
Pt 0.0000 0.0000 0.6671 (multiplicity 8)
Pt 0.0000 0.0000 0.8297 (multiplicity 8)
Rh 0.0000 0.0000 0.3293 (multiplicity 8)

Peak list (8 most intense, 2θ from 5° to 70°, in order of rising 2θ)
2θ/deg  d (Å)  I (rel.)  index
20.80  4.270  21  1 1 1
25.83  3.449  8  0 2 2
34.18  2.624  7  1 1 5
40.80  2.212  100  2 2 0
47.32  1.921  33  2 0 6
47.77  1.904  16  0 4 0
69.10  1.359  5  4 0 0
69.51  1.352  21  2 4 6


# 3
Diffraction record for Dy5Y2Bi4. The powder diffraction line list is theoretical, not measured: it uses a structure optimized by DFT (PBE) and copper Kα.

a b c (Å): 25.2339 3.5092 8.1515
angles (deg): 90.00 91.05 90.00
Space group C2/m (No. 12)
Unique sites:
Dy 0.0000 0.0000 0.0000 (multiplicity 2)
Dy 0.1387 0.5000 0.0527 (multiplicity 4)
Dy 0.1699 0.5000 0.4865 (multiplicity 4)
Y 0.2323 0.0000 0.8190 (multiplicity 4)
Bi 0.0493 0.5000 0.3087 (multiplicity 4)
Bi 0.0990 0.0000 0.7396 (multiplicity 4)

Peak list (8 most intense, 2θ from 5° to 70°, in order of rising 2θ)
2θ/deg  d (Å)  I (rel.)  index
27.92  3.195  77  1 1 1
30.21  2.959  100  8 0 -1
30.83  2.900  93  6 0 2
33.09  2.707  48  5 1 1
33.62  2.666  52  2 0 -3
35.28  2.544  82  3 1 -2
41.22  2.190  54  9 1 0
52.15  1.754  46  0 2 0


# 4
Diffraction record for Ho2NiI. The powder diffraction line list is theoretical, not measured: it uses a structure optimized by DFT (PBE) and copper Kα.

a b c (Å): 4.0017 4.0017 23.4427
angles (deg): 90.00 90.00 120.00
Space group R3m (No. 160, hexagonal axes)
Unique sites:
Ho 0.0000 0.0000 0.0000 (multiplicity 3)
Ho 0.0000 0.0000 0.2156 (multiplicity 3)
Ni 0.0000 0.0000 0.6076 (multiplicity 3)
I 0.0000 0.0000 0.4399 (multiplicity 3)

Peak list (8 most intense, 2θ from 5° to 70°, in order of rising 2θ)
2θ/deg  d (Å)  I (rel.)  index
25.99  3.428  22  1 0 1
29.95  2.983  54  1 0 4
32.12  2.787  100  0 1 5
34.43  2.605  19  0 0 9
45.32  2.001  48  1 1 0
46.80  1.941  19  1 0 10
56.63  1.625  20  2 0 5
58.14  1.587  25  1 1 9


# 5
Diffraction record for NaTmCd17. The powder diffraction line list is theoretical, not measured: it uses a structure optimized by DFT (PBE) and copper Kα.

a b c (Å): 10.0203 10.0203 15.4227
angles (deg): 90.00 90.00 120.00
Space group R3m (No. 160, hexagonal axes)
Unique sites:
Na 0.0000 0.0000 0.0000 (multiplicity 3)
Tm 0.0000 0.0000 0.6584 (multiplicity 3)
Cd 0.0000 0.0000 0.2513 (multiplicity 3)
Cd 0.0000 0.0000 0.4401 (multiplicity 3)
Cd 0.0012 0.3042 0.3352 (multiplicity 18)
Cd 0.0297 0.5148 0.1945 (multiplicity 9)
Cd 0.0401 0.5201 0.8271 (multiplicity 9)
Cd 0.0761 0.5380 0.4840 (multiplicity 9)

Peak list (8 most intense, 2θ from 5° to 70°, in order of rising 2θ)
2θ/deg  d (Å)  I (rel.)  index
11.70  7.563  16  1 0 1
30.91  2.893  32  3 0 0
34.91  2.570  24  0 0 6
35.61  2.521  100  0 3 3
35.71  2.514  26  2 0 5
35.85  2.505  22  2 2 0
39.40  2.287  15  1 1 6
40.05  2.251  41  2 2 3


# 6
Diffraction record for PmMg3Ag4. The powder diffraction line list is theoretical, not measured: it uses a structure optimized by DFT (PBE) and copper Kα.

a b c (Å): 4.7902 4.7902 25.2375
angles (deg): 90.00 90.00 120.00
Space group R-3m (No. 166, hexagonal axes)
Unique sites:
Pm 0.0000 0.0000 0.0000 (multiplicity 3)
Mg 0.0000 0.0000 0.2455 (multiplicity 6)
Mg 0.0000 0.0000 0.5000 (multiplicity 3)
Ag 0.0000 0.0000 0.1277 (multiplicity 6)
Ag 0.0000 0.0000 0.3914 (multiplicity 6)

Peak list (8 most intense, 2θ from 5° to 70°, in order of rising 2θ)
2θ/deg  d (Å)  I (rel.)  index
22.56  3.941  21  0 1 2
25.70  3.466  26  1 0 4
27.84  3.205  20  0 1 5
32.91  2.721  24  1 0 7
35.76  2.511  90  0 1 8
37.55  2.395  100  1 1 0
52.82  1.733  28  2 0 8
66.60  1.404  28  1 2 8